(1)
Structure and computed powder XRD pattern of PbBrF (a crystal structure in the Materials Project, relaxed with GGA-PBE; Cu Kα X-rays).
Intensities are scaled so that the largest is 100.

Peak list (12 most intense, 2θ from 10° to 90°, sorted by position)
h k l  2θ/deg  I/Imax
0 0 2  22.92  29
1 0 1  23.99  65
1 1 0  29.93  87
1 0 2  31.31  100
1 1 2  38.03  51
1 0 3  40.91  17
2 0 0  42.83  44
2 0 2  49.13  16
2 1 1  49.69  20
1 0 4  51.86  33
2 1 2  54.01  43
2 1 4  69.46  28

Lattice parameters (Å, degrees): 4.222 4.222 7.761 90.00 90.00 90.00
Space group P4/nmm (No. 129, origin choice 2)
Symmetry-distinct sites (fractional):
Pb 0.250 0.250 0.193
Br 0.250 0.250 0.648
F 0.250 0.750 0.000

***

(2)
Structure and computed powder XRD pattern of Pb7Br2F12 (a crystal structure in the Materials Project, relaxed with GGA-PBE; Cu Kα X-rays).
Intensities are scaled so that the largest is 100.

Peak list (12 most intense, 2θ from 10° to 90°, sorted by position)
h k l  2θ/deg  I/Imax
1 0 1  24.02  16
1 2 0  25.91  100
1 1 1  27.79  67
2 0 1  29.49  75
2 1 1  34.18  43
3 1 1  42.18  29
0 0 2  44.69  20
4 1 0  45.71  47
2 3 1  49.09  42
1 2 2  52.38  32
4 1 2  65.81  26
4 4 0  71.91  15

Lattice parameters (Å, degrees): 10.5060 10.5060 4.0555 90.00 90.00 120.00
Space group P-6 (No. 174)
Symmetry-distinct sites (fractional):
Pb 0.0000 0.0000 0.0000
Pb 0.0997 0.4115 0.0000
Pb 0.3929 0.2865 0.5000
Br 0.3333 0.6667 0.5000
Br 0.6667 0.3333 0.0000
F 0.0492 0.6169 0.0000
F 0.0775 0.8711 0.5000
F 0.2749 0.1143 0.0000
F 0.4257 0.0395 0.5000

***

(3)
Structure and computed powder XRD pattern of RbBrF4 (a crystal structure in the Materials Project, relaxed with GGA-PBE; Cu Kα X-rays).
Intensities are scaled so that the largest is 100.

Peak list (12 most intense, 2θ from 10° to 90°, sorted by position)
h k l  2θ/deg  I/Imax
0 0 2  15.93  100
2 0 0  24.90  52
2 0 2  29.70  79
2 2 0  35.51  26
2 2 2  39.13  38
2 0 4  41.11  38
2 2 4  48.66  19
4 0 2  53.86  14
2 0 6  55.84  14
4 2 0  57.65  14
4 2 2  60.21  21
4 0 4  61.67  18

Lattice parameters (Å, degrees): 7.151 7.151 11.127 90.00 90.00 90.00
Space group I4/mcm (No. 140)
Symmetry-distinct sites (fractional):
Rb 0.000 0.000 0.000
Br 0.000 0.500 0.000
F 0.140 0.360 0.118

***

Repeat the third record exactly.
Structure and computed powder XRD pattern of RbBrF4 (a crystal structure in the Materials Project, relaxed with GGA-PBE; Cu Kα X-rays).
Intensities are scaled so that the largest is 100.

Peak list (12 most intense, 2θ from 10° to 90°, sorted by position)
h k l  2θ/deg  I/Imax
0 0 2  15.93  100
2 0 0  24.90  52
2 0 2  29.70  79
2 2 0  35.51  26
2 2 2  39.13  38
2 0 4  41.11  38
2 2 4  48.66  19
4 0 2  53.86  14
2 0 6  55.84  14
4 2 0  57.65  14
4 2 2  60.21  21
4 0 4  61.67  18

Lattice parameters (Å, degrees): 7.151 7.151 11.127 90.00 90.00 90.00
Space group I4/mcm (No. 140)
Symmetry-distinct sites (fractional):
Rb 0.000 0.000 0.000
Br 0.000 0.500 0.000
F 0.140 0.360 0.118

***

Repeat the second record exactly.
Structure and computed powder XRD pattern of Pb7Br2F12 (a crystal structure in the Materials Project, relaxed with GGA-PBE; Cu Kα X-rays).
Intensities are scaled so that the largest is 100.

Peak list (12 most intense, 2θ from 10° to 90°, sorted by position)
h k l  2θ/deg  I/Imax
1 0 1  24.02  16
1 2 0  25.91  100
1 1 1  27.79  67
2 0 1  29.49  75
2 1 1  34.18  43
3 1 1  42.18  29
0 0 2  44.69  20
4 1 0  45.71  47
2 3 1  49.09  42
1 2 2  52.38  32
4 1 2  65.81  26
4 4 0  71.91  15

Lattice parameters (Å, degrees): 10.5060 10.5060 4.0555 90.00 90.00 120.00
Space group P-6 (No. 174)
Symmetry-distinct sites (fractional):
Pb 0.0000 0.0000 0.0000
Pb 0.0997 0.4115 0.0000
Pb 0.3929 0.2865 0.5000
Br 0.3333 0.6667 0.5000
Br 0.6667 0.3333 0.0000
F 0.0492 0.6169 0.0000
F 0.0775 0.8711 0.5000
F 0.2749 0.1143 0.0000
F 0.4257 0.0395 0.5000

***

- What is the formula in the first record?
  PbBrF